Record 1
Diffraction record for LiPr2Br2O4. The powder XRD pattern is computed, not measured: it uses a GGA-PBE-relaxed structure and Cu Kα X-rays.

Largest 8 diffraction maxima, low angle first, 10° ≤ 2θ ≤ 90°:
Position (°2θ)  d_spacing  Rel. int.  index
16.08  5.513  22  1 0 -1
25.52  3.491  50  1 0 -2
26.10  3.414  100  1 1 0
31.46  2.844  35  2 0 0
34.65  2.589  50  0 1 2
36.90  2.436  27  1 0 2
38.89  2.316  23  2 1 -2
42.34  2.135  25  0 2 0

Cell and atoms:
```
data_LiPr2Br2O4
_chemical_formula_sum 'Li1 Pr2 Br2 O4'
_space_group_name_H-M_alt 'P 1 m 1'
_space_group_IT_number 6
_cell_length_a 6.2057
_cell_length_b 4.2692
_cell_length_c 7.1039
_cell_angle_alpha 90.00
_cell_angle_beta 113.58
_cell_angle_gamma 90.00
loop_
_space_group_symop_operation_xyz
'x,y,z'
'x,-y,z'
loop_
_atom_site_label
_atom_site_type_symbol
_atom_site_fract_x
_atom_site_fract_y
_atom_site_fract_z
Li1 Li 0.0000 0.0000 0.0000
Pr1 Pr 0.1512 0.5000 0.4658
Pr2 Pr 0.5745 0.0000 0.2189
Br1 Br 0.1647 0.5000 0.9046
Br2 Br 0.5772 0.0000 0.7729
O1 O 0.2294 0.0000 0.2812
O2 O 0.7034 0.5000 0.3863
O3 O 0.7516 0.5000 0.1941
O4 O 0.9884 0.0000 0.4512
```

=====

Record 2
Diffraction record for LiPr2Br2O4. The powder XRD pattern is computed, not measured: it uses a GGA-PBE-relaxed structure and Cu Kα X-rays.

Largest 8 diffraction maxima, low angle first, 10° ≤ 2θ ≤ 90°:
Position (°2θ)  d_spacing  Rel. int.  index
13.15  6.731  24  0 0 1
26.26  3.394  100  1 1 0
26.54  3.359  54  1 0 -2
33.08  2.708  29  2 0 0
33.66  2.662  82  0 1 2
35.46  2.532  32  1 0 2
41.43  2.180  50  0 2 0
54.02  1.698  28  2 2 0

Cell and atoms:
```
data_LiPr2Br2O4
_chemical_formula_sum 'Li1 Pr2 Br2 O4'
_space_group_name_H-M_alt 'P 1 m 1'
_space_group_IT_number 6
_cell_length_a 5.6906
_cell_length_b 4.3557
_cell_length_c 7.0723
_cell_angle_alpha 90.00
_cell_angle_beta 107.87
_cell_angle_gamma 90.00
loop_
_space_group_symop_operation_xyz
'x,y,z'
'x,-y,z'
loop_
_atom_site_label
_atom_site_type_symbol
_atom_site_fract_x
_atom_site_fract_y
_atom_site_fract_z
Li1 Li 0.0000 0.0000 0.0000
Pr1 Pr 0.1897 0.5000 0.6981
Pr2 Pr 0.5969 0.0000 0.4586
Br1 Br 0.1607 0.5000 0.1657
Br2 Br 0.5723 0.0000 0.0098
O1 O 0.2376 0.0000 0.5448
O2 O 0.6536 0.5000 0.6270
O3 O 0.7726 0.5000 0.4629
O4 O 0.9872 0.0000 0.7271
```

=====

Record 3
Diffraction record for LiPr2Br2O4. The powder XRD pattern is computed, not measured: it uses a GGA-PBE-relaxed structure and Cu Kα X-rays.

Largest 8 diffraction maxima, low angle first, 10° ≤ 2θ ≤ 90°:
Position (°2θ)  d_spacing  Rel. int.  index
15.84  5.595  84  0 1 0
22.90  3.883  48  1 0 -1
24.26  3.668  100  0 1 1
24.67  3.608  87  1 -1 1
28.29  3.154  70  1 1 -1
31.68  2.824  50  0 2 -2
35.40  2.536  45  0 1 -3
43.64  2.074  39  1 2 0

Cell and atoms:
```
data_LiPr2Br2O4
_chemical_formula_sum 'Li1 Pr2 Br2 O4'
_space_group_name_H-M_alt 'P 1'
_space_group_IT_number 1
_cell_length_a 4.3571
_cell_length_b 6.3223
_cell_length_c 7.6227
_cell_angle_alpha 112.89
_cell_angle_beta 93.70
_cell_angle_gamma 103.30
loop_
_space_group_symop_operation_xyz
'x,y,z'
loop_
_atom_site_label
_atom_site_type_symbol
_atom_site_fract_x
_atom_site_fract_y
_atom_site_fract_z
Li1 Li 0.0000 0.0000 0.0000
Pr1 Pr 0.2724 0.5120 0.9015
Pr2 Pr 0.8121 0.7201 0.5677
Br1 Br 0.3413 0.8795 0.3255
Br2 Br 0.6616 0.3101 0.1435
O1 O 0.0373 0.1051 0.7847
O2 O 0.2545 0.5424 0.5868
O3 O 0.3636 0.7923 0.7318
O4 O 0.8137 0.6434 0.8614
```

=====

Record 4
Diffraction record for LiPr2Br2O4. The powder XRD pattern is computed, not measured: it uses a GGA-PBE-relaxed structure and Cu Kα X-rays.

Largest 8 diffraction maxima, low angle first, 10° ≤ 2θ ≤ 90°:
Position (°2θ)  d_spacing  Rel. int.  index
15.10  5.869  67  0 1 0
23.32  3.815  39  1 0 -1
23.75  3.746  100  0 1 1
25.09  3.549  93  1 -1 1
27.04  3.297  69  1 1 -1
31.59  2.832  53  0 2 -2
40.27  2.239  40  1 2 0
42.22  2.141  49  2 0 0

Cell and atoms:
```
data_LiPr2Br2O4
_chemical_formula_sum 'Li1 Pr2 Br2 O4'
_space_group_name_H-M_alt 'P 1'
_space_group_IT_number 1
_cell_length_a 4.3590
_cell_length_b 6.4586
_cell_length_c 7.3190
_cell_angle_alpha 112.52
_cell_angle_beta 92.80
_cell_angle_gamma 98.47
loop_
_space_group_symop_operation_xyz
'x,y,z'
loop_
_atom_site_label
_atom_site_type_symbol
_atom_site_fract_x
_atom_site_fract_y
_atom_site_fract_z
Li1 Li 0.0000 0.0000 0.0000
Pr1 Pr 0.3413 0.3140 0.4720
Pr2 Pr 0.8894 0.5890 0.1761
Br1 Br 0.4292 0.7281 0.8852
Br2 Br 0.8392 0.1873 0.7600
O1 O 0.0555 0.9752 0.2522
O2 O 0.3465 0.4088 0.1647
O3 O 0.4136 0.6265 0.3436
O4 O 0.8562 0.3873 0.3934
```

=====

Record 5
Diffraction record for LiTa2Te4Br10O. The powder XRD pattern is computed, not measured: it uses a GGA-PBE-relaxed structure and Cu Kα X-rays.

Largest 8 diffraction maxima, low angle first, 10° ≤ 2θ ≤ 90°:
Position (°2θ)  d_spacing  Rel. int.  index
14.08  6.290  89  0 1 1
14.78  5.992  100  1 0 -1
19.71  4.503  72  0 1 -2
22.34  3.980  52  1 -1 2
26.00  3.427  45  0 2 -2
28.40  3.143  82  -1 2 2
31.11  2.875  57  2 1 1
39.35  2.290  50  1 -3 3

Cell and atoms:
```
data_LiTa2Te4Br10O
_chemical_formula_sum 'Li1 Ta2 Te4 Br10 O1'
_space_group_name_H-M_alt 'P 1'
_space_group_IT_number 1
_cell_length_a 7.4702
_cell_length_b 9.0044
_cell_length_c 10.0385
_cell_angle_alpha 94.40
_cell_angle_beta 91.56
_cell_angle_gamma 104.64
loop_
_space_group_symop_operation_xyz
'x,y,z'
loop_
_atom_site_label
_atom_site_type_symbol
_atom_site_fract_x
_atom_site_fract_y
_atom_site_fract_z
Li1 Li 0.0000 0.0000 0.0000
Ta1 Ta 0.4035 0.1532 0.8240
Ta2 Ta 0.4301 0.8832 0.0972
Te1 Te 0.0878 0.6069 0.6138
Te2 Te 0.7279 0.4341 0.3151
Te3 Te 0.8227 0.7076 0.4738
Te4 Te 0.9945 0.3332 0.4540
Br1 Br 0.0618 0.9765 0.7465
Br2 Br 0.1007 0.7312 0.0346
Br3 Br 0.2197 0.2851 0.9881
Br4 Br 0.3209 0.0522 0.2708
Br5 Br 0.3633 0.3442 0.6518
Br6 Br 0.4455 0.6911 0.2753
Br7 Br 0.5195 0.9933 0.6520
Br8 Br 0.5821 0.7304 0.9380
Br9 Br 0.7076 0.3236 0.8980
Br10 Br 0.7682 0.0496 0.1751
O1 O 0.4145 0.0164 0.9603
```

=====

Record 6
Diffraction record for LiTa2Te4Br10O. The powder XRD pattern is computed, not measured: it uses a GGA-PBE-relaxed structure and Cu Kα X-rays.

Largest 8 diffraction maxima, low angle first, 10° ≤ 2θ ≤ 90°:
Position (°2θ)  d_spacing  Rel. int.  index
11.51  7.690  24  1 0 0
13.83  6.401  100  1 0 -1
19.81  4.483  40  0 1 -2
20.07  4.425  26  1 0 -2
27.61  3.231  33  -1 2 2
29.78  3.000  24  2 1 1
31.96  2.800  18  -2 2 2
37.51  2.398  18  -2 2 3

Cell and atoms:
```
data_LiTa2Te4Br10O
_chemical_formula_sum 'Li1 Ta2 Te4 Br10 O1'
_space_group_name_H-M_alt 'P 1'
_space_group_IT_number 1
_cell_length_a 7.9452
_cell_length_b 8.8522
_cell_length_c 10.2121
_cell_angle_alpha 91.98
_cell_angle_beta 94.39
_cell_angle_gamma 103.69
loop_
_space_group_symop_operation_xyz
'x,y,z'
loop_
_atom_site_label
_atom_site_type_symbol
_atom_site_fract_x
_atom_site_fract_y
_atom_site_fract_z
Li1 Li 0.0000 0.0000 0.0000
Ta1 Ta 0.0877 0.3585 0.0056
Ta2 Ta 0.1255 0.0853 0.2872
Te1 Te 0.4110 0.6113 0.4909
Te2 Te 0.4978 0.8911 0.6361
Te3 Te 0.6775 0.5128 0.6271
Te4 Te 0.7831 0.8018 0.7551
Br1 Br 0.0549 0.5348 0.8130
Br2 Br 0.1421 0.8828 0.4661
Br3 Br 0.2048 0.1802 0.8470
Br4 Br 0.2602 0.9193 0.1320
Br5 Br 0.3842 0.5139 0.0726
Br6 Br 0.4309 0.2425 0.3631
Br7 Br 0.7817 0.1690 0.9203
Br8 Br 0.8266 0.9117 0.2087
Br9 Br 0.9326 0.5008 0.1474
Br10 Br 0.9964 0.2423 0.4392
O1 O 0.1015 0.2096 0.1394
```